[1]
Calculated X-ray diffraction stick pattern
Compound: PaNb2Ni9
Radiation: Cu Kα
Structure: a DFT-relaxed cell (GGA-PBE, Alexandria)
Peak positions follow from Bragg's law for the DFT cell and can differ from measured ones.

Most intense lines, 2θ = 10–90°, by angle:
two_theta  d/Å  I_rel  (hkl)
28.5  3.132  9  0 1 5
34.1  2.631  30  1 0 7
37.2  2.418  25  0 1 8
37.4  2.405  36  1 1 0
43.6  2.075  30  0 2 1
44.1  2.055  100  1 1 6
45.8  1.980  17  0 0 12
65.3  1.428  10  2 1 7
72.1  1.310  19  0 3 6
79.8  1.202  16  2 2 0

Structure:
```
data_PaNb2Ni9
_cell_length_a 4.8094
_cell_length_b 4.8094
_cell_length_c 23.7630
_cell_angle_alpha 90.00
_cell_angle_beta 90.00
_cell_angle_gamma 120.00
_space_group_name_H-M_alt 'R -3 m'
_space_group_IT_number 166
_space_group_name_Hall '-R 3 2"'
loop_
_atom_site_label
_atom_site_fract_x
_atom_site_fract_y
_atom_site_fract_z
Pa1 0.0000 0.0000 0.0000
Nb1 0.0000 0.0000 0.1430
Ni1 0.0000 0.0000 0.3334
Ni2 0.0000 0.0000 0.5000
Ni3 0.0030 0.5015 0.9140
```

[2]
Calculated X-ray diffraction stick pattern
Compound: Nb2Ni15Pd2
Radiation: Cu Kα
Structure: a DFT-relaxed cell (GGA-PBE, Alexandria)
Peak positions follow from Bragg's law for the DFT cell and can differ from measured ones.

Most intense lines, 2θ = 10–90°, by angle:
two_theta  d/Å  I_rel  (hkl)
32.4  2.761  26  1 0 4
37.9  2.372  65  3 0 0
39.3  2.291  35  0 2 4
44.1  2.054  76  2 2 0
44.4  2.039  100  0 3 3
45.3  2.001  33  2 1 4
45.4  1.997  35  0 0 6
49.9  1.827  76  2 2 3
81.1  1.186  32  6 0 0
83.2  1.161  26  0 3 9

Structure:
```
data_Nb2Ni15Pd2
_cell_length_a 8.2168
_cell_length_b 8.2168
_cell_length_c 11.9817
_cell_angle_alpha 90.00
_cell_angle_beta 90.00
_cell_angle_gamma 120.00
_space_group_name_H-M_alt 'R -3 m'
_space_group_IT_number 166
_space_group_name_Hall '-R 3 2"'
loop_
_atom_site_label
_atom_site_fract_x
_atom_site_fract_y
_atom_site_fract_z
Nb1 0.0000 0.0000 0.1480
Ni1 0.0000 0.3191 0.5000
Ni2 0.0000 0.5000 0.0000
Ni3 0.0134 0.5067 0.6586
Pd1 0.0000 0.0000 0.3908
```

[3]
Calculated X-ray diffraction stick pattern
Compound: NbNi2Pd4
Radiation: Cu Kα
Structure: a DFT-relaxed cell (GGA-PBE, Alexandria)
Peak positions follow from Bragg's law for the DFT cell and can differ from measured ones.

Most intense lines, 2θ = 10–90°, by angle:
two_theta  d/Å  I_rel  (hkl)
21.1  4.205  27  0 2 0
32.8  2.730  27  1 1 3
34.7  2.588  28  0 0 4
40.4  2.231  100  2 2 0
40.9  2.204  49  0 2 4
43.0  2.103  42  0 4 0
49.4  1.845  28  2 0 4
54.3  1.690  31  2 2 4
67.5  1.387  21  2 4 4
87.1  1.119  21  2 2 8

Structure:
```
data_NbNi2Pd4
_cell_length_a 5.2644
_cell_length_b 8.4108
_cell_length_c 10.3525
_cell_angle_alpha 90.00
_cell_angle_beta 90.00
_cell_angle_gamma 90.00
_space_group_name_H-M_alt 'F m m m'
_space_group_IT_number 69
_space_group_name_Hall '-F 2 2'
loop_
_atom_site_label
_atom_site_fract_x
_atom_site_fract_y
_atom_site_fract_z
Nb1 0.0000 0.0000 0.0000
Ni1 0.0000 0.0000 0.3783
Pd1 0.2500 0.2500 0.0000
Pd2 0.2500 0.2500 0.2500
```

[4]
Calculated X-ray diffraction stick pattern
Compound: NbNi2Pd3
Radiation: Cu Kα
Structure: a DFT-relaxed cell (GGA-PBE, Alexandria)
Peak positions follow from Bragg's law for the DFT cell and can differ from measured ones.

Most intense lines, 2θ = 10–90°, by angle:
two_theta  d/Å  I_rel  (hkl)
40.5  2.226  100  1 3 1
46.7  1.947  17  2 0 0
47.2  1.926  16  0 0 2
47.6  1.911  15  0 6 0
68.5  1.369  10  2 0 2
68.8  1.364  10  2 6 0
82.4  1.171  12  3 3 1
83.2  1.161  12  1 3 3
83.7  1.155  11  1 9 1
87.7  1.113  10  2 6 2

Structure:
```
data_NbNi2Pd3
_cell_length_a 3.8939
_cell_length_b 11.4653
_cell_length_c 3.8511
_cell_angle_alpha 90.00
_cell_angle_beta 90.00
_cell_angle_gamma 90.00
_space_group_name_H-M_alt 'C m m m'
_space_group_IT_number 65
_space_group_name_Hall '-C 2 2'
loop_
_atom_site_label
_atom_site_fract_x
_atom_site_fract_y
_atom_site_fract_z
Nb1 0.0000 0.0000 0.0000
Ni1 0.0000 0.3397 0.0000
Pd1 0.0000 0.1694 0.5000
Pd2 0.0000 0.5000 0.5000
```

[5]
Calculated X-ray diffraction stick pattern
Compound: Nb3Ni8Pd2
Radiation: Cu Kα
Structure: a DFT-relaxed cell (GGA-PBE, Alexandria)
Peak positions follow from Bragg's law for the DFT cell and can differ from measured ones.

Most intense lines, 2θ = 10–90°, by angle:
two_theta  d/Å  I_rel  (hkl)
27.1  3.296  17  0 1 5
38.4  2.343  58  1 1 0
39.6  2.274  18  1 1 3
41.6  2.170  100  0 1 11
43.1  2.098  45  1 1 6
45.1  2.008  49  2 0 2
47.5  1.916  23  1 0 13
47.6  1.910  27  2 0 5
71.7  1.317  37  1 2 11
82.3  1.171  24  2 2 0

Structure:
```
data_Nb3Ni8Pd2
_cell_length_a 4.6858
_cell_length_b 4.6858
_cell_length_c 28.2519
_cell_angle_alpha 90.00
_cell_angle_beta 90.00
_cell_angle_gamma 120.00
_space_group_name_H-M_alt 'R -3 m'
_space_group_IT_number 166
_space_group_name_Hall '-R 3 2"'
loop_
_atom_site_label
_atom_site_fract_x
_atom_site_fract_y
_atom_site_fract_z
Nb1 0.0000 0.0000 0.0000
Nb2 0.0000 0.0000 0.1864
Ni1 0.0000 0.0000 0.2728
Ni2 0.0005 0.5003 0.7693
Pd1 0.0000 0.0000 0.3594
```

[6]
Calculated X-ray diffraction stick pattern
Compound: Nb2Ni3Pt3
Radiation: Cu Kα
Structure: a DFT-relaxed cell (GGA-PBE, Alexandria)
Peak positions follow from Bragg's law for the DFT cell and can differ from measured ones.

Most intense lines, 2θ = 10–90°, by angle:
two_theta  d/Å  I_rel  (hkl)
18.2  4.872  20  1 0 1
24.9  3.579  42  1 1 0
34.1  2.626  22  0 0 3
36.9  2.436  43  2 0 2
40.2  2.246  92  2 1 1
42.7  2.117  100  1 1 3
43.8  2.066  49  3 0 0
45.0  2.014  68  1 2 2
66.9  1.399  23  3 2 1
70.4  1.338  22  2 3 2

Structure:
```
data_Nb2Ni3Pt3
_cell_length_a 7.1573
_cell_length_b 7.1573
_cell_length_c 7.8795
_cell_angle_alpha 90.00
_cell_angle_beta 90.00
_cell_angle_gamma 120.00
_space_group_name_H-M_alt 'R 3 2'
_space_group_IT_number 155
_space_group_name_Hall 'R 3 2"'
loop_
_atom_site_label
_atom_site_fract_x
_atom_site_fract_y
_atom_site_fract_z
Nb1 0.0000 0.0000 0.2249
Ni1 0.0000 0.2927 0.0000
Pt1 0.0000 0.7462 0.5000
```

What is the formula in the fifth record?
Nb3Ni8Pd2

Please write out number 1 again, unchanged.
Calculated X-ray diffraction stick pattern
Compound: PaNb2Ni9
Radiation: Cu Kα
Structure: a DFT-relaxed cell (GGA-PBE, Alexandria)
Peak positions follow from Bragg's law for the DFT cell and can differ from measured ones.

Most intense lines, 2θ = 10–90°, by angle:
two_theta  d/Å  I_rel  (hkl)
28.5  3.132  9  0 1 5
34.1  2.631  30  1 0 7
37.2  2.418  25  0 1 8
37.4  2.405  36  1 1 0
43.6  2.075  30  0 2 1
44.1  2.055  100  1 1 6
45.8  1.980  17  0 0 12
65.3  1.428  10  2 1 7
72.1  1.310  19  0 3 6
79.8  1.202  16  2 2 0

Structure:
```
data_PaNb2Ni9
_cell_length_a 4.8094
_cell_length_b 4.8094
_cell_length_c 23.7630
_cell_angle_alpha 90.00
_cell_angle_beta 90.00
_cell_angle_gamma 120.00
_space_group_name_H-M_alt 'R -3 m'
_space_group_IT_number 166
_space_group_name_Hall '-R 3 2"'
loop_
_atom_site_label
_atom_site_fract_x
_atom_site_fract_y
_atom_site_fract_z
Pa1 0.0000 0.0000 0.0000
Nb1 0.0000 0.0000 0.1430
Ni1 0.0000 0.0000 0.3334
Ni2 0.0000 0.0000 0.5000
Ni3 0.0030 0.5015 0.9140
```